Entry 1:
For KLi6BiO6, DFT lattice parameters and positions (PBE) gives the simulated PXRD pattern in this record (Cu Kα (weighted mean of Kα1 and Kα2)).

```
KLi6BiO6
1.0
5.016 -4.310 0.000
5.016 4.310 0.000
-2.801 0.000 5.984
K Li Bi O
1 6 1 6
Cartesian
0.000 0.000 0.000 K
0.877 1.493 4.038 Li
3.616 1.607 2.992 Li
0.877 -1.493 4.038 Li
6.354 1.493 1.946 Li
3.616 -1.607 2.992 Li
6.354 -1.493 1.946 Li
-1.400 0.000 2.992 Bi
2.318 2.655 3.697 O
-0.140 0.000 4.699 O
4.914 2.655 2.287 O
2.318 -2.655 3.697 O
7.371 0.000 1.285 O
4.914 -2.655 2.287 O
```

Top 12 peaks for 10 to 80 degrees two-theta, in order of rising 2θ:
2theta, Rel. int.
14.16, 100
14.80, 32
17.26, 36
19.54, 17
20.61, 12
28.08, 12
28.55, 11
29.08, 12
31.30, 10
33.61, 10
34.94, 14
45.16, 15

=====

Entry 2:
For KMgBi, DFT lattice parameters and positions (PBE) gives the simulated PXRD pattern in this record (Cu Kα (weighted mean of Kα1 and Kα2)).

```
KMgBi
1.0
4.941 0.000 0.000
0.000 4.941 0.000
0.000 0.000 8.491
K Mg Bi
2 2 2
Cartesian
1.235 1.235 1.278 K
3.706 3.706 7.213 K
1.235 3.706 4.246 Mg
3.706 1.235 4.246 Mg
1.235 1.235 5.994 Bi
3.706 3.706 2.497 Bi
```

Top 12 peaks for 10 to 80 degrees two-theta, in order of rising 2θ:
2theta, Rel. int.
20.80, 100
20.92, 24
25.49, 57
27.70, 42
33.21, 55
36.36, 35
36.59, 21
42.28, 52
46.32, 20
46.56, 21
60.48, 19
63.44, 17

=====

Entry 3:
For KMgBiO3, DFT lattice parameters and positions (PBE) gives the simulated PXRD pattern in this record (Cu Kα (weighted mean of Kα1 and Kα2)).

```
KMgBiO3
1.0
4.484 0.000 0.000
0.000 4.484 0.000
0.000 0.000 5.407
K Mg Bi O
1 1 1 3
Cartesian
0.000 0.000 0.000 K
0.000 0.000 2.703 Mg
2.242 2.242 2.703 Bi
0.000 2.242 2.703 O
2.242 0.000 2.703 O
2.242 2.242 0.000 O
```

Top 12 peaks for 10 to 80 degrees two-theta, in order of rising 2θ:
2theta, Rel. int.
16.39, 75
19.80, 53
25.81, 100
28.14, 64
32.74, 26
33.14, 34
38.90, 21
40.22, 39
43.71, 26
44.02, 39
48.41, 38
53.07, 33

=====

Entry 4:
For KMg14BiO16, DFT lattice parameters and positions (PBE) gives the simulated PXRD pattern in this record (Cu Kα (weighted mean of Kα1 and Kα2)).

```
KMg14BiO16
1.0
8.776 0.000 0.000
0.000 8.776 0.000
0.000 0.000 4.488
K Mg Bi O
1 14 1 16
Cartesian
0.000 0.000 0.000 K
0.000 2.181 2.244 Mg
0.000 4.388 0.000 Mg
0.000 6.594 2.244 Mg
2.050 4.388 2.244 Mg
2.117 2.117 0.000 Mg
2.117 6.659 0.000 Mg
2.181 0.000 2.244 Mg
4.388 0.000 0.000 Mg
4.388 2.050 2.244 Mg
4.388 6.726 2.244 Mg
6.594 0.000 2.244 Mg
6.659 2.117 0.000 Mg
6.659 6.659 0.000 Mg
6.726 4.388 2.244 Mg
4.388 4.388 0.000 Bi
0.000 0.000 2.244 O
0.000 2.403 0.000 O
0.000 4.388 2.244 O
0.000 6.372 0.000 O
2.077 4.388 0.000 O
2.213 2.213 2.244 O
2.213 6.562 2.244 O
2.403 0.000 0.000 O
4.388 0.000 2.244 O
4.388 2.077 0.000 O
4.388 4.388 2.244 O
4.388 6.699 0.000 O
6.372 0.000 0.000 O
6.562 2.213 2.244 O
6.562 6.562 2.244 O
6.699 4.388 0.000 O
```

Top 12 peaks for 10 to 80 degrees two-theta, in order of rising 2θ:
2theta, Rel. int.
10.08, 89
14.27, 51
20.24, 34
22.25, 37
22.66, 35
24.48, 39
28.45, 29
30.25, 40
35.16, 51
40.19, 56
41.15, 100
58.87, 62

=====

Entry 5:
For KMgBiO3, DFT lattice parameters and positions (PBE) gives the simulated PXRD pattern in this record (Cu Kα (weighted mean of Kα1 and Kα2)).

```
KMgBiO3
1.0
4.086 -3.175 0.000
4.086 3.175 0.000
-1.637 0.000 4.930
K Mg Bi O
1 1 1 3
Cartesian
0.000 0.000 0.000 K
2.368 0.000 2.907 Mg
4.990 0.000 1.590 Bi
2.277 1.622 1.900 O
2.277 -1.622 1.900 O
3.519 0.000 4.430 O
```

Top 12 peaks for 10 to 80 degrees two-theta, in order of rising 2θ:
2theta, Rel. int.
18.03, 100
22.89, 29
24.33, 26
28.09, 57
36.49, 13
36.61, 26
37.46, 37
37.57, 18
44.33, 21
46.69, 13
49.71, 12
58.07, 15

=====

Entry 6:
For KMg14BiO16, DFT lattice parameters and positions (PBE) gives the simulated PXRD pattern in this record (Cu Kα (weighted mean of Kα1 and Kα2)).

```
KMg14BiO16
1.0
4.470 0.000 0.000
0.000 8.720 0.000
0.000 0.000 8.937
K Mg Bi O
1 14 1 16
Cartesian
0.000 0.000 0.000 K
0.000 2.258 2.146 Mg
0.000 2.258 6.791 Mg
0.000 4.360 0.000 Mg
0.000 4.360 4.469 Mg
0.000 6.462 2.146 Mg
0.000 6.462 6.791 Mg
2.235 0.000 2.078 Mg
2.235 0.000 6.860 Mg
2.235 2.213 0.000 Mg
2.235 2.301 4.469 Mg
2.235 4.360 2.203 Mg
2.235 4.360 6.734 Mg
2.235 6.419 4.469 Mg
2.235 6.507 0.000 Mg
0.000 0.000 4.469 Bi
0.000 0.000 2.266 O
0.000 0.000 6.672 O
0.000 2.347 4.469 O
0.000 2.411 0.000 O
0.000 4.360 2.264 O
0.000 4.360 6.674 O
0.000 6.309 0.000 O
0.000 6.373 4.469 O
2.235 0.000 0.000 O
2.235 0.000 4.469 O
2.235 2.181 2.246 O
2.235 2.181 6.691 O
2.235 4.360 0.000 O
2.235 4.360 4.469 O
2.235 6.539 2.246 O
2.235 6.539 6.691 O
```

Top 12 peaks for 10 to 80 degrees two-theta, in order of rising 2θ:
2theta, Rel. int.
10.14, 51
14.19, 41
19.86, 31
22.35, 43
24.49, 30
28.60, 27
30.06, 29
35.07, 47
40.36, 100
41.42, 45
58.40, 30
59.21, 55

=====

Question: What is the formula in the fourth record?
Answer: KMg14BiO16